(1)
# Cs3NdP2S8
Calculated PXRD pattern, copper Kα. Input: a cell relaxed with PBE.
Lines closer than 0.1° are merged.

Cell and atoms:
```
Cs3NdP2S8
1.0
15.5991 0.0000 0.0000
0.0000 6.9989 0.0000
-13.0697 0.0000 15.4844
Cs Nd P S
12 4 8 32
direct
0.0616 0.2482 0.1099
0.0616 0.2518 0.6099
0.1550 0.2415 0.3778
0.1550 0.2585 0.8778
0.4178 0.7452 0.5255
0.4178 0.7548 0.0255
0.5822 0.2452 0.9745
0.5822 0.2548 0.4745
0.8450 0.7415 0.1222
0.8450 0.7585 0.6222
0.9384 0.7482 0.3901
0.9384 0.7518 0.8901
0.3515 0.7314 0.7289
0.3515 0.7686 0.2289
0.6485 0.2314 0.7711
0.6485 0.2686 0.2711
0.1927 0.7451 0.2766
0.1927 0.7549 0.7766
0.3450 0.2267 0.1280
0.3450 0.2733 0.6280
0.6550 0.7267 0.3720
0.6550 0.7733 0.8720
0.8073 0.2451 0.2234
0.8073 0.2549 0.7234
0.0932 0.7502 0.1441
0.0932 0.7498 0.6441
0.1147 0.7388 0.3263
0.1147 0.7612 0.8264
0.2395 0.5054 0.5705
0.2395 0.9946 0.0705
0.2510 0.0304 0.5935
0.2510 0.4696 0.0935
0.2923 0.5135 0.8167
0.2923 0.9865 0.3167
0.2959 0.5120 0.3140
0.2959 0.9880 0.8140
0.4416 0.2504 0.0924
0.4416 0.2496 0.5924
0.4546 0.1666 0.2587
0.4546 0.3334 0.7587
0.5454 0.6666 0.2413
0.5454 0.8334 0.7413
0.5584 0.7504 0.4076
0.5584 0.7496 0.9076
0.7041 0.0120 0.1860
0.7041 0.4880 0.6860
0.7077 0.0135 0.6833
0.7077 0.4865 0.1833
0.7490 0.5304 0.9065
0.7490 0.9696 0.4065
0.7605 0.0054 0.9295
0.7605 0.4946 0.4295
0.8853 0.2388 0.1736
0.8853 0.2612 0.6736
0.9068 0.2502 0.3559
0.9068 0.2498 0.8559
```

Largest 10 diffraction maxima, sorted by position, 2θ = 10–90°:
d = 4.538 Å, rel. 54; d = 3.880 Å, rel. 100; d = 3.499 Å, rel. 52; d = 3.135 Å, rel. 32; d = 2.862 Å, rel. 25; d = 2.853 Å, rel. 25; d = 2.799 Å, rel. 59; d = 2.542 Å, rel. 26; d = 2.215 Å, rel. 26; d = 2.207 Å, rel. 23

(2)
# CsPmNd
Calculated PXRD pattern, copper Kα. Input: a cell relaxed with PBE.
Lines closer than 0.1° are merged.

Cell and atoms:
```
CsPmNd
1.0
0.0000 4.3605 4.3605
4.3605 0.0000 4.3605
4.3605 4.3605 0.0000
Cs Pm Nd
1 1 1
direct
0.0000 0.0000 0.0000
0.2500 0.2500 0.2500
0.5000 0.5000 0.5000
```

Largest 10 diffraction maxima, sorted by position, 2θ = 10–90°:
d = 5.035 Å, rel. 27; d = 4.361 Å, rel. 11; d = 3.083 Å, rel. 100; d = 2.629 Å, rel. 16; d = 2.180 Å, rel. 19; d = 2.001 Å, rel. 7; d = 1.780 Å, rel. 40; d = 1.542 Å, rel. 13; d = 1.379 Å, rel. 17; d = 1.165 Å, rel. 20

(3)
# CsPrNd
Calculated PXRD pattern, copper Kα. Input: a cell relaxed with PBE.
Lines closer than 0.1° are merged.

Cell and atoms:
```
CsPrNd
1.0
0.0000 4.3770 4.3770
4.3770 0.0000 4.3770
4.3770 4.3770 0.0000
Cs Pr Nd
1 1 1
direct
0.0000 0.0000 0.0000
0.2500 0.2500 0.2500
0.5000 0.5000 0.5000
```

Largest 10 diffraction maxima, sorted by position, 2θ = 10–90°:
d = 5.054 Å, rel. 26; d = 4.377 Å, rel. 12; d = 3.095 Å, rel. 100; d = 2.639 Å, rel. 15; d = 2.188 Å, rel. 19; d = 2.008 Å, rel. 7; d = 1.787 Å, rel. 41; d = 1.547 Å, rel. 13; d = 1.384 Å, rel. 17; d = 1.170 Å, rel. 20

(4)
# CsRbNd2S4
Calculated PXRD pattern, copper Kα. Input: a cell relaxed with PBE.
Lines closer than 0.1° are merged.

Cell and atoms:
```
CsRbNd2S4
1.0
4.2299 0.0000 0.0000
-2.1149 3.6632 0.0000
0.0000 0.0000 15.8048
Cs Rb Nd S
1 1 2 4
direct
0.0000 0.0000 0.0000
0.3333 0.6667 0.5000
0.6667 0.3333 0.2563
0.6667 0.3333 0.7437
0.0000 0.0000 0.3525
0.0000 0.0000 0.6475
0.3333 0.6667 0.1602
0.3333 0.6667 0.8398
```

Largest 10 diffraction maxima, sorted by position, 2θ = 10–90°:
d = 3.951 Å, rel. 29; d = 3.323 Å, rel. 100; d = 3.008 Å, rel. 50; d = 2.686 Å, rel. 21; d = 2.139 Å, rel. 41; d = 2.115 Å, rel. 40; d = 1.865 Å, rel. 23; d = 1.784 Å, rel. 17; d = 1.444 Å, rel. 15; d = 1.364 Å, rel. 14

(5)
# CsRbNd2Sb2
Calculated PXRD pattern, copper Kα. Input: a cell relaxed with PBE.
Lines closer than 0.1° are merged.

Cell and atoms:
```
CsRbNd2Sb2
1.0
5.4376 0.0000 0.0000
0.0000 5.4376 0.0000
0.0000 0.0000 8.9352
Cs Rb Nd Sb
1 1 2 2
direct
0.0000 0.0000 0.0000
0.5000 0.5000 0.7365
0.0000 0.5000 0.3734
0.5000 0.0000 0.3734
0.0000 0.0000 0.5598
0.5000 0.5000 0.1826
```

Largest 10 diffraction maxima, sorted by position, 2θ = 10–90°:
d = 3.532 Å, rel. 86; d = 3.452 Å, rel. 100; d = 2.914 Å, rel. 99; d = 2.719 Å, rel. 100; d = 2.355 Å, rel. 28; d = 2.136 Å, rel. 52; d = 1.931 Å, rel. 32; d = 1.922 Å, rel. 36; d = 1.605 Å, rel. 33; d = 1.493 Å, rel. 23

(6)
# Cs2Nd3Te4
Calculated PXRD pattern, copper Kα. Input: a cell relaxed with PBE.
Lines closer than 0.1° are merged.

Cell and atoms:
```
Cs2Nd3Te4
1.0
-3.6217 6.6642 8.5091
3.6217 -6.6642 8.5091
3.6217 6.6642 -8.5091
Cs Nd Te
4 6 8
direct
0.1224 0.2424 0.3649
0.3776 0.7424 0.1200
0.6224 0.2576 0.8800
0.8776 0.7576 0.6351
0.0266 0.2500 0.7766
0.2500 0.7500 0.5000
0.4734 0.2500 0.2234
0.5266 0.7500 0.7766
0.7500 0.2500 0.5000
0.9734 0.7500 0.2234
0.0012 0.4110 0.1486
0.2377 0.0890 0.5903
0.2623 0.8526 0.8514
0.4988 0.6474 0.4097
0.5012 0.3526 0.5903
0.7377 0.1474 0.1486
0.7623 0.9110 0.4097
0.9988 0.5890 0.8514
```

Largest 10 diffraction maxima, sorted by position, 2θ = 10–90°:
d = 8.509 Å, rel. 18; d = 3.710 Å, rel. 100; d = 3.332 Å, rel. 45; d = 3.103 Å, rel. 26; d = 2.796 Å, rel. 31; d = 2.758 Å, rel. 22; d = 2.452 Å, rel. 47; d = 2.233 Å, rel. 20; d = 2.127 Å, rel. 18; d = 1.607 Å, rel. 25